1.
# Li4Nb2Co3Sb3O16
Simulated XRD peak list, CuKα. Input: the GGA+U geometry in Alexandria.
Intensities are scaled so that the largest is 100.

Principal peaks in the range 5° ≤ 2θ ≤ 70°, low angle first:
- 2θ = 17.85°, d 4.968, I = 100
- 2θ = 18.46°, d 4.806, I = 79
- 2θ = 18.89°, d 4.697, I = 44
- 2θ = 19.00°, d 4.670, I = 65
- 2θ = 24.28°, d 3.665, I = 37
- 2θ = 33.88°, d 2.646, I = 62
- 2θ = 33.98°, d 2.638, I = 43
- 2θ = 34.12°, d 2.628, I = 62
- 2θ = 34.63°, d 2.590, I = 72
- 2θ = 42.65°, d 2.120, I = 44

Cell and atoms:
```
Li4Nb2Co3Sb3O16
1.0
6.170 0.000 0.000
3.005 5.469 0.000
0.247 -0.091 9.936
Li Nb Co Sb O
4 2 3 3 16
Cartesian
0.000 0.000 0.000
6.319 -0.006 5.093
3.337 1.704 4.181
6.540 3.637 9.073
3.529 1.958 9.876
6.469 3.590 5.103
3.351 3.582 7.167
4.917 0.932 7.249
7.813 4.519 2.247
1.914 0.897 7.266
4.822 4.582 2.331
6.313 1.857 2.248
0.295 -0.052 8.090
1.996 2.543 8.490
1.545 1.091 1.011
2.947 3.651 0.955
3.420 1.779 6.179
4.901 4.475 5.901
3.357 0.220 8.623
4.757 2.689 8.624
4.975 2.749 3.517
6.404 5.142 3.581
4.776 1.141 1.050
6.388 3.588 1.205
6.457 1.826 6.019
7.909 4.430 5.974
6.132 0.140 3.243
7.640 2.659 3.550
```



2.
# Li4Nb2Co3Sn3O16
Simulated XRD peak list, CuKα. Input: the GGA+U geometry in Alexandria.
Intensities are scaled so that the largest is 100.

Principal peaks in the range 5° ≤ 2θ ≤ 70°, low angle first:
- 2θ = 17.90°, d 4.956, I = 62
- 2θ = 18.85°, d 4.707, I = 42
- 2θ = 18.91°, d 4.692, I = 100
- 2θ = 24.44°, d 3.643, I = 29
- 2θ = 24.56°, d 3.624, I = 32
- 2θ = 31.78°, d 2.815, I = 37
- 2θ = 34.32°, d 2.613, I = 50
- 2θ = 34.83°, d 2.576, I = 78
- 2θ = 43.69°, d 2.072, I = 46
- 2θ = 59.96°, d 1.543, I = 32

Cell and atoms:
```
Li4Nb2Co3Sn3O16
1.0
5.350 -3.076 0.000
5.350 3.076 0.000
-0.068 0.000 9.913
Li Nb Co Sn O
4 2 3 3 16
Cartesian
0.000 0.000 0.000
0.036 0.000 4.833
3.597 0.000 5.741
7.324 0.000 0.824
3.871 0.000 0.078
7.312 0.000 4.833
4.558 1.499 2.707
4.558 -1.499 2.707
8.899 0.000 7.652
1.928 0.000 2.664
6.289 1.522 7.638
6.289 -1.522 7.638
0.001 0.000 6.675
0.096 0.000 1.824
2.868 1.338 1.316
1.732 0.000 8.822
4.482 1.511 8.852
3.659 0.000 3.726
6.382 1.521 3.936
2.868 -1.338 1.316
5.322 0.000 1.290
5.533 0.000 6.393
7.913 1.361 6.328
4.482 -1.511 8.852
7.133 0.000 8.750
8.963 0.000 3.957
6.382 -1.521 3.936
7.913 -1.361 6.328
```